1.
Simulated powder diffraction line list
Compound: PrHBr3
Radiation: copper Kα
Structure: DFT lattice parameters and positions (PBE)
Lines closer than 0.1° are merged.

Peak list (8 most intense, 10° ≤ 2θ ≤ 90°, in order of falling intensity)
2theta, d/Å, Rel. int.
13.2, 6.732, 100.0
12.0, 7.388, 55.9
46.1, 1.969, 43.3
13.7, 6.487, 40.1
33.0, 2.714, 39.0
29.2, 3.053, 28.5
28.8, 3.098, 28.4
33.3, 2.694, 24.7

Cell and atoms:
Cell lengths 7.7677, 7.8759, 13.6402 Å; angles 90.00, 107.99, 90.00 degrees
Positions (direct):
Pr 0.0002 0.2500 0.0833
Pr 0.9998 0.2500 0.4167
Pr 0.0002 0.7500 0.5833
Pr 0.9998 0.7500 0.9167
H 0.0510 0.2041 0.7589
H 0.0510 0.7959 0.2589
H 0.9490 0.2041 0.7411
H 0.9490 0.7959 0.2411
Br 0.2512 0.0018 0.0428
Br 0.2508 0.2517 0.2943
Br 0.2508 0.4963 0.5472
Br 0.2508 0.5037 0.0472
Br 0.2508 0.7483 0.7943
Br 0.2512 0.9982 0.5428
Br 0.7488 0.0018 0.4572
Br 0.7492 0.2517 0.2057
Br 0.7492 0.4963 0.9528
Br 0.7492 0.5037 0.4528
Br 0.7492 0.7483 0.7057
Br 0.7488 0.9982 0.9572

---

2.
Simulated powder diffraction line list
Compound: Zn3Ga3Tc
Radiation: copper Kα
Structure: DFT lattice parameters and positions (PBE)
Lines closer than 0.1° are merged.

Peak list (8 most intense, 10° ≤ 2θ ≤ 90°, in order of falling intensity)
2theta, d/Å, Rel. int.
41.7, 2.165, 100.0
35.1, 2.554, 25.4
44.4, 2.039, 19.5
80.0, 1.200, 13.8
63.0, 1.475, 13.0
80.4, 1.195, 12.6
57.9, 1.593, 11.5
78.5, 1.219, 9.4

Cell and atoms:
Cell lengths 7.8030, 7.8030, 4.0779 Å; angles 90.00, 90.00, 120.00 degrees
Positions (direct):
Zn 0.0947 0.2445 0.2500
Zn 0.1498 0.9053 0.2500
Zn 0.2445 0.1498 0.7500
Zn 0.7555 0.8502 0.2500
Zn 0.8502 0.0947 0.7500
Zn 0.9053 0.7555 0.7500
Ga 0.0936 0.4751 0.7500
Ga 0.3814 0.9064 0.7500
Ga 0.4751 0.3814 0.2500
Ga 0.5249 0.6186 0.7500
Ga 0.6186 0.0936 0.2500
Ga 0.9064 0.5249 0.2500
Tc 0.3333 0.6667 0.2500
Tc 0.6667 0.3333 0.7500

---

3.
Simulated powder diffraction line list
Compound: Fe4ReTc
Radiation: copper Kα
Structure: DFT lattice parameters and positions (PBE)
Lines closer than 0.1° are merged.

Peak list (8 most intense, 10° ≤ 2θ ≤ 90°, in order of falling intensity)
2theta, d/Å, Rel. int.
45.6, 1.988, 100.0
38.6, 2.332, 62.4
74.8, 1.269, 29.4
69.9, 1.346, 21.8
82.8, 1.166, 21.1
23.4, 3.807, 18.4
47.8, 1.904, 16.9
27.0, 3.297, 6.5

Cell and atoms:
Cell lengths 4.6632, 4.6632, 4.6632 Å; angles 60.00, 60.00, 60.00 degrees
Positions (direct):
Fe 0.1250 0.1250 0.1250
Fe 0.1250 0.1250 0.6250
Fe 0.1250 0.6250 0.1250
Fe 0.6250 0.1250 0.1250
Re 0.5000 0.5000 0.5000
Tc 0.7500 0.7500 0.7500

---

4.
Simulated powder diffraction line list
Compound: TeSe4I4
Radiation: copper Kα
Structure: DFT lattice parameters and positions (PBE)
Lines closer than 0.1° are merged.

Peak list (8 most intense, 10° ≤ 2θ ≤ 90°, in order of falling intensity)
2theta, d/Å, Rel. int.
21.4, 4.159, 100.0
20.3, 4.378, 66.5
33.4, 2.683, 52.6
19.6, 4.526, 46.7
40.4, 2.235, 45.5
30.6, 2.919, 39.3
49.7, 1.833, 22.4
20.7, 4.294, 22.2

Cell and atoms:
Cell lengths 9.6858, 9.3531, 10.5410 Å; angles 90.00, 120.83, 90.00 degrees
Positions (direct):
Te 0.0000 0.1383 0.2500
Te 0.0000 0.8617 0.7500
Se 0.1053 0.0307 0.6262
Se 0.1053 0.9693 0.1262
Se 0.4257 0.4343 0.0351
Se 0.4257 0.5657 0.5351
Se 0.5743 0.4343 0.4649
Se 0.5743 0.5657 0.9649
Se 0.8947 0.0307 0.8738
Se 0.8947 0.9693 0.3738
I 0.0225 0.3574 0.5541
I 0.0225 0.6426 0.0541
I 0.4558 0.1572 0.9689
I 0.4558 0.8428 0.4689
I 0.5442 0.1572 0.5311
I 0.5442 0.8428 0.0311
I 0.9775 0.3574 0.9459
I 0.9775 0.6426 0.4459